# 1
Calculated X-ray powder pattern of AcMg8Al4 for a wavelength of 1.5418 Å, from a cell relaxed with PBE.
No peak broadening, texture or thermal motion is included.

Structure:
Cell lengths 7.6641, 7.6641, 7.6641 Å; angles 97.99, 97.99, 136.23 degrees
Fractional positions:
Ac 0.0000 0.0000 0.0000
Mg 0.0000 0.3527 0.3527
Mg 0.0000 0.6473 0.6473
Mg 0.2827 0.5000 0.7827
Mg 0.3527 0.0000 0.3527
Mg 0.5000 0.2827 0.7827
Mg 0.5000 0.7173 0.2173
Mg 0.6473 0.0000 0.6473
Mg 0.7173 0.5000 0.2173
Al 0.0000 0.0000 0.5000
Al 0.0000 0.5000 0.0000
Al 0.5000 0.0000 0.0000
Al 0.5000 0.5000 0.5000

Top 6 peaks for 10 to 90 degrees two-theta, in order of rising 2θ:
2θ/deg  d/Å  I_rel
12.45  7.112  848
17.85  4.968  775
25.20  3.534  997
30.93  2.892  598
35.82  2.507  1000
36.16  2.484  608

---

# 2
Calculated X-ray powder pattern of Ac2Mg15Al2 for a wavelength of 1.5418 Å, from a cell relaxed with PBE.
No peak broadening, texture or thermal motion is included.

Structure:
Cell lengths 7.8198, 7.8198, 7.8198 Å; angles 82.90, 82.90, 82.90 degrees
Fractional positions:
Ac 0.1737 0.1737 0.1737
Ac 0.8263 0.8263 0.8263
Mg 0.0000 0.5000 0.5000
Mg 0.1518 0.1518 0.6577
Mg 0.1518 0.6577 0.1518
Mg 0.2047 0.5000 0.7953
Mg 0.2047 0.7953 0.5000
Mg 0.3423 0.8482 0.8482
Mg 0.5000 0.0000 0.5000
Mg 0.5000 0.2047 0.7953
Mg 0.5000 0.5000 0.0000
Mg 0.5000 0.7953 0.2047
Mg 0.6577 0.1518 0.1518
Mg 0.7953 0.2047 0.5000
Mg 0.7953 0.5000 0.2047
Mg 0.8482 0.3423 0.8482
Mg 0.8482 0.8482 0.3423
Al 0.4076 0.4076 0.4076
Al 0.5924 0.5924 0.5924

Top 6 peaks for 10 to 90 degrees two-theta, in order of rising 2θ:
2θ/deg  d/Å  I_rel
17.13  5.176  726
24.65  3.612  1000
29.90  2.989  502
34.66  2.588  499
34.90  2.571  898
50.01  1.824  370

---

# 3
Calculated X-ray powder pattern of Ac2MgAl12Ni3 for a wavelength of 1.5418 Å, from a cell relaxed with PBE.
No peak broadening, texture or thermal motion is included.

Structure:
Cell lengths 8.0324, 8.0324, 8.0324 Å; angles 65.69, 65.69, 65.69 degrees
Fractional positions:
Ac 0.0927 0.0927 0.0927
Ac 0.9073 0.9073 0.9073
Mg 0.5000 0.5000 0.5000
Al 0.1055 0.6309 0.6309
Al 0.2203 0.2203 0.5865
Al 0.2203 0.5865 0.2203
Al 0.3691 0.3691 0.8945
Al 0.3691 0.8945 0.3691
Al 0.4135 0.7797 0.7797
Al 0.5865 0.2203 0.2203
Al 0.6309 0.1055 0.6309
Al 0.6309 0.6309 0.1055
Al 0.7797 0.4135 0.7797
Al 0.7797 0.7797 0.4135
Al 0.8945 0.3691 0.3691
Ni 0.0000 0.5000 0.5000
Ni 0.5000 0.0000 0.5000
Ni 0.5000 0.5000 0.0000

Top 6 peaks for 10 to 90 degrees two-theta, in order of rising 2θ:
2θ/deg  d/Å  I_rel
12.64  7.002  508
20.39  4.357  433
24.06  3.699  1000
26.50  3.363  485
35.30  2.543  456
41.45  2.178  500

---

# 4
Calculated X-ray powder pattern of Ac3Mg2AlO8 for a wavelength of 1.5418 Å, from a cell relaxed with PBE.
No peak broadening, texture or thermal motion is included.

Structure:
Cell lengths 5.6224, 5.6224, 7.2200 Å; angles 90.00, 90.00, 120.00 degrees
Fractional positions:
Ac 0.0000 0.0000 0.0000
Ac 0.3333 0.6667 0.6360
Ac 0.6667 0.3333 0.3640
Mg 0.3333 0.6667 0.2077
Mg 0.6667 0.3333 0.7923
Al 0.0000 0.0000 0.5000
O 0.1573 0.3146 0.3345
O 0.1573 0.8427 0.3345
O 0.3146 0.1573 0.6655
O 0.3333 0.6667 0.9496
O 0.6667 0.3333 0.0504
O 0.6854 0.8427 0.3345
O 0.8427 0.1573 0.6655
O 0.8427 0.6854 0.6655

Top 6 peaks for 10 to 90 degrees two-theta, in order of rising 2θ:
2θ/deg  d/Å  I_rel
22.02  4.037  1000
30.83  2.900  635
31.83  2.811  783
39.04  2.307  367
44.91  2.018  338
56.09  1.640  251

---

# 5
Calculated X-ray powder pattern of AcMg2AlPd4 for a wavelength of 1.5418 Å, from a cell relaxed with PBE.
No peak broadening, texture or thermal motion is included.

Structure:
Cell lengths 9.4502, 9.4502, 9.4502 Å; angles 27.14, 27.14, 27.14 degrees
Fractional positions:
Ac 0.0000 0.0000 0.0000
Mg 0.2343 0.2343 0.2343
Mg 0.7657 0.7657 0.7657
Al 0.5000 0.5000 0.5000
Pd 0.1355 0.1355 0.1355
Pd 0.4056 0.4056 0.4056
Pd 0.5944 0.5944 0.5944
Pd 0.8645 0.8645 0.8645

Top 6 peaks for 10 to 90 degrees two-theta, in order of rising 2θ:
2θ/deg  d/Å  I_rel
24.07  3.697  456
28.42  3.141  550
32.73  2.736  785
35.19  2.550  637
40.70  2.217  1000
66.48  1.406  257

---

# 6
Calculated X-ray powder pattern of AcMgAlPt for a wavelength of 1.5418 Å, from a cell relaxed with PBE.
No peak broadening, texture or thermal motion is included.

Structure:
Cell lengths 6.5220, 6.5220, 6.5220 Å; angles 39.19, 39.19, 39.19 degrees
Fractional positions:
Ac 0.0000 0.0000 0.0000
Mg 0.1978 0.1978 0.1978
Al 0.7908 0.7908 0.7908
Pt 0.4730 0.4730 0.4730

Top 6 peaks for 10 to 90 degrees two-theta, in order of rising 2θ:
2θ/deg  d/Å  I_rel
25.50  3.493  1000
29.71  3.007  239
30.83  2.901  799
41.28  2.187  473
51.68  1.769  316
52.39  1.746  185

---

# 7
Calculated X-ray powder pattern of Ac2MgAl2Pt5 for a wavelength of 1.5418 Å, from a cell relaxed with PBE.
No peak broadening, texture or thermal motion is included.

Structure:
Cell lengths 10.7497, 10.7497, 3.5041 Å; angles 90.00, 90.00, 90.00 degrees
Fractional positions:
Ac 0.1791 0.3209 0.0000
Ac 0.3209 0.8209 0.0000
Ac 0.6791 0.1791 0.0000
Ac 0.8209 0.6791 0.0000
Mg 0.0000 0.0000 0.0000
Mg 0.5000 0.5000 0.0000
Al 0.1214 0.6214 0.0000
Al 0.3786 0.1214 0.0000
Al 0.6214 0.8786 0.0000
Al 0.8786 0.3786 0.0000
Pt 0.0000 0.5000 0.5000
Pt 0.0597 0.7887 0.5000
Pt 0.2113 0.0597 0.5000
Pt 0.2887 0.5597 0.5000
Pt 0.4403 0.2887 0.5000
Pt 0.5000 0.0000 0.5000
Pt 0.5597 0.7113 0.5000
Pt 0.7113 0.4403 0.5000
Pt 0.7887 0.9403 0.5000
Pt 0.9403 0.2113 0.5000

Top 6 peaks for 10 to 90 degrees two-theta, in order of rising 2θ:
2θ/deg  d/Å  I_rel
31.60  2.832  682
34.40  2.607  1000
35.43  2.534  408
36.84  2.440  843
39.69  2.271  399
64.03  1.454  342

---

# 8
Calculated X-ray powder pattern of Ac2Mg4AlSn3 for a wavelength of 1.5418 Å, from a cell relaxed with PBE.
No peak broadening, texture or thermal motion is included.

Structure:
Cell lengths 4.7725, 4.7725, 11.9373 Å; angles 90.00, 90.00, 90.00 degrees
Fractional positions:
Ac 0.0000 0.5000 0.2344
Ac 0.5000 0.0000 0.7656
Mg 0.0000 0.0000 0.5000
Mg 0.0000 0.5000 0.8739
Mg 0.5000 0.0000 0.1261
Mg 0.5000 0.5000 0.5000
Al 0.5000 0.5000 0.0000
Sn 0.0000 0.0000 0.0000
Sn 0.0000 0.5000 0.6425
Sn 0.5000 0.0000 0.3575

Top 6 peaks for 10 to 90 degrees two-theta, in order of rising 2θ:
2θ/deg  d/Å  I_rel
26.41  3.375  431
29.22  3.056  769
30.43  2.938  1000
37.70  2.386  560
42.33  2.135  402
48.39  1.881  394

---

# 9
Calculated X-ray powder pattern of AcMg2Al2Zn for a wavelength of 1.5418 Å, from a cell relaxed with PBE.
No peak broadening, texture or thermal motion is included.

Structure:
Cell lengths 8.7509, 8.7509, 8.7509 Å; angles 150.12, 150.12, 42.76 degrees
Fractional positions:
Ac 0.0000 0.0000 0.0000
Mg 0.2500 0.7500 0.5000
Mg 0.7500 0.2500 0.5000
Al 0.3563 0.3563 0.0000
Al 0.6437 0.6437 0.0000
Zn 0.5000 0.5000 0.0000

Top 6 peaks for 10 to 90 degrees two-theta, in order of rising 2θ:
2θ/deg  d/Å  I_rel
10.86  8.149  1000
21.81  4.074  377
25.67  3.471  461
27.97  3.190  413
30.08  2.971  866
43.77  2.068  435

---

# 10
Calculated X-ray powder pattern of AcMg2AlZn2 for a wavelength of 1.5418 Å, from a cell relaxed with PBE.
No peak broadening, texture or thermal motion is included.

Structure:
Cell lengths 6.8578, 6.8578, 6.8578 Å; angles 136.35, 136.35, 63.44 degrees
Fractional positions:
Ac 0.0000 0.0000 0.0000
Mg 0.2500 0.7500 0.5000
Mg 0.7500 0.2500 0.5000
Al 0.5000 0.5000 0.0000
Zn 0.2944 0.2944 0.0000
Zn 0.7056 0.7056 0.0000

Top 6 peaks for 10 to 90 degrees two-theta, in order of rising 2θ:
2θ/deg  d/Å  I_rel
18.99  4.672  689
24.69  3.605  948
28.87  3.092  1000
35.20  2.549  652
46.15  1.967  565
47.36  1.920  378

---

# 11
Calculated X-ray powder pattern of AcMgAlZn6 for a wavelength of 1.5418 Å, from a cell relaxed with PBE.
No peak broadening, texture or thermal motion is included.

Structure:
Cell lengths 8.9553, 8.9553, 8.9553 Å; angles 133.96, 118.31, 80.31 degrees
Fractional positions:
Ac 0.3909 0.1409 0.2500
Ac 0.6091 0.8591 0.7500
Mg 0.0000 0.0000 0.5000
Mg 0.0000 0.5000 0.0000
Al 0.0000 0.5000 0.5000
Al 0.5000 0.5000 0.0000
Zn 0.1551 0.9051 0.2500
Zn 0.1730 0.4840 0.3267
Zn 0.1730 0.8463 0.6890
Zn 0.3427 0.1537 0.8267
Zn 0.3427 0.5160 0.1890
Zn 0.3557 0.6057 0.7500
Zn 0.6443 0.3943 0.2500
Zn 0.6573 0.4840 0.8110
Zn 0.6573 0.8463 0.1733
Zn 0.8270 0.1537 0.3110
Zn 0.8270 0.5160 0.6733
Zn 0.8449 0.0949 0.7500

Top 6 peaks for 10 to 90 degrees two-theta, in order of rising 2θ:
2θ/deg  d/Å  I_rel
11.60  7.626  1000
24.07  3.697  834
26.04  3.422  563
30.42  2.938  648
32.14  2.785  927
41.82  2.160  809

---

# 12
Calculated X-ray powder pattern of AcPaAlN4 for a wavelength of 1.5418 Å, from a cell relaxed with PBE.
No peak broadening, texture or thermal motion is included.

Structure:
Cell lengths 5.7293, 5.5828, 7.1854 Å; angles 90.00, 108.00, 90.00 degrees
Fractional positions:
Ac 0.2135 0.2500 0.4292
Ac 0.7865 0.7500 0.5708
Pa 0.2880 0.2500 0.9504
Pa 0.7120 0.7500 0.0496
Al 0.2478 0.7500 0.1748
Al 0.7522 0.2500 0.8252
N 0.0226 0.7500 0.9232
N 0.0488 0.7500 0.3384
N 0.4781 0.5043 0.1992
N 0.4781 0.9957 0.1992
N 0.5219 0.0043 0.8008
N 0.5219 0.4957 0.8008
N 0.9512 0.2500 0.6616
N 0.9774 0.2500 0.0768

Top 6 peaks for 10 to 90 degrees two-theta, in order of rising 2θ:
2θ/deg  d/Å  I_rel
22.81  3.899  1000
26.11  3.412  337
30.71  2.911  573
32.06  2.791  304
41.81  2.161  272
56.31  1.634  229

---

# 13
Calculated X-ray powder pattern of Na2AcAlTe4 for a wavelength of 1.5418 Å, from a cell relaxed with PBE.
No peak broadening, texture or thermal motion is included.

Structure:
Cell lengths 9.0851, 9.0851, 9.0851 Å; angles 123.67, 116.50, 89.97 degrees
Fractional positions:
Na 0.0000 0.0000 0.0000
Na 0.5000 0.0000 0.0000
Na 0.5000 0.0000 0.5000
Na 0.5000 0.5000 0.5000
Ac 0.0000 0.5000 0.5000
Ac 0.5000 0.5000 0.0000
Al 0.0000 0.0000 0.5000
Al 0.0000 0.5000 0.0000
Te 0.1936 0.2437 0.9499
Te 0.2061 0.7563 0.4499
Te 0.2429 0.2333 0.4903
Te 0.2429 0.7526 0.0097
Te 0.7571 0.2474 0.9903
Te 0.7571 0.7667 0.5097
Te 0.7939 0.2437 0.5501
Te 0.8064 0.7563 0.0501

Top 6 peaks for 10 to 90 degrees two-theta, in order of rising 2θ:
2θ/deg  d/Å  I_rel
12.41  7.134  327
22.39  3.971  251
27.77  3.213  568
27.95  3.192  1000
39.80  2.265  806
51.22  1.784  204